1.
Theoretical X-ray powder pattern of ErMn2O4 for Cu Kα X-rays, from a PBE+U-relaxed structure.
Neutral-atom scattering factors, no anomalous dispersion.

Peak list (10 most intense, 2θ = 10–90°, low angle first)
- 2θ = 27.60°, rel. 71
- 2θ = 27.76°, rel. 71
- 2θ = 28.84°, rel. 32
- 2θ = 31.82°, rel. 82
- 2θ = 33.44°, rel. 35
- 2θ = 33.60°, rel. 100
- 2θ = 33.71°, rel. 43
- 2θ = 50.36°, rel. 38
- 2θ = 56.98°, rel. 35
- 2θ = 57.34°, rel. 34

Lattice parameters (Å, degrees): 6.4452 6.4452 6.2446 118.58 118.58 57.40
Positions (direct):
Er: 0.1253 0.1253 0.3881
Er: 0.8747 0.8747 0.6119
Mn: 0.0000 0.5000 0.0000
Mn: 0.5000 0.0000 0.0000
Mn: 0.5000 0.5000 0.0000
Mn: 0.5000 0.5000 0.5000
O: 0.2483 0.2483 0.2213
O: 0.2665 0.2665 0.7944
O: 0.2693 0.7147 0.2661
O: 0.2853 0.7307 0.7339
O: 0.7147 0.2693 0.2661
O: 0.7307 0.2853 0.7339
O: 0.7335 0.7335 0.2056
O: 0.7517 0.7517 0.7787


2.
Theoretical X-ray powder pattern of Sr2MgZrVO6 for Cu Kα X-rays, from a PBE+U-relaxed structure.
Neutral-atom scattering factors, no anomalous dispersion.

Peak list (10 most intense, 2θ = 10–90°, low angle first)
- 2θ = 21.34°, rel. 56
- 2θ = 28.91°, rel. 79
- 2θ = 30.54°, rel. 100
- 2θ = 30.75°, rel. 59
- 2θ = 31.18°, rel. 73
- 2θ = 32.05°, rel. 76
- 2θ = 33.30°, rel. 43
- 2θ = 41.88°, rel. 33
- 2θ = 44.16°, rel. 36
- 2θ = 47.69°, rel. 31

Lattice parameters (Å, degrees): 5.6273 5.8549 6.3772 64.76 70.81 65.46
Positions (direct):
Sr: 0.0000 0.0000 0.0000
Sr: 0.3791 0.4650 0.7543
Mg: 0.7170 0.8730 0.6335
Zr: 0.6783 0.5848 0.1687
V: 0.2658 0.1398 0.3882
O: 0.0482 0.9175 0.6335
O: 0.0761 0.4898 0.1501
O: 0.4726 0.9528 0.9415
O: 0.5350 0.2916 0.4115
O: 0.6082 0.7962 0.3982
O: 0.7644 0.4732 0.8728


3.
Theoretical X-ray powder pattern of Sr8Fe7CoO24 for Cu Kα X-rays, from a PBE+U-relaxed structure.
Neutral-atom scattering factors, no anomalous dispersion.

Peak list (10 most intense, 2θ = 10–90°, low angle first)
- 2θ = 22.75°, rel. 1
- 2θ = 32.39°, rel. 100
- 2θ = 39.95°, rel. 13
- 2θ = 46.46°, rel. 39
- 2θ = 52.33°, rel. 1
- 2θ = 57.77°, rel. 38
- 2θ = 67.81°, rel. 22
- 2θ = 77.17°, rel. 16
- 2θ = 81.70°, rel. 4
- 2θ = 86.18°, rel. 7

Lattice parameters (Å, degrees): 7.8181 7.8181 7.8181 90.00 90.00 90.00
Positions (direct):
Sr: 0.2495 0.2495 0.2495
Sr: 0.2495 0.2495 0.7505
Sr: 0.2495 0.7505 0.2495
Sr: 0.2495 0.7505 0.7505
Sr: 0.7505 0.2495 0.2495
Sr: 0.7505 0.2495 0.7505
Sr: 0.7505 0.7505 0.2495
Sr: 0.7505 0.7505 0.7505
Fe: 0.0000 0.0000 0.0000
Fe: 0.0000 0.0000 0.5000
Fe: 0.0000 0.5000 0.0000
Fe: 0.0000 0.5000 0.5000
Fe: 0.5000 0.0000 0.0000
Fe: 0.5000 0.0000 0.5000
Fe: 0.5000 0.5000 0.0000
Co: 0.5000 0.5000 0.5000
O: 0.0000 0.0000 0.2484
O: 0.0000 0.0000 0.7516
O: 0.0000 0.2484 0.0000
O: 0.0000 0.2517 0.5000
O: 0.0000 0.5000 0.2517
O: 0.0000 0.5000 0.7483
O: 0.0000 0.7483 0.5000
O: 0.0000 0.7516 0.0000
O: 0.2484 0.0000 0.0000
O: 0.2517 0.0000 0.5000
O: 0.2517 0.5000 0.0000
O: 0.2578 0.5000 0.5000
O: 0.5000 0.0000 0.2517
O: 0.5000 0.0000 0.7483
O: 0.5000 0.2517 0.0000
O: 0.5000 0.2578 0.5000
O: 0.5000 0.5000 0.2578
O: 0.5000 0.5000 0.7422
O: 0.5000 0.7422 0.5000
O: 0.5000 0.7483 0.0000
O: 0.7422 0.5000 0.5000
O: 0.7483 0.0000 0.5000
O: 0.7483 0.5000 0.0000
O: 0.7516 0.0000 0.0000


4.
Theoretical X-ray powder pattern of CoF4 for Cu Kα X-rays, from a PBE+U-relaxed structure.
Neutral-atom scattering factors, no anomalous dispersion.

Peak list (10 most intense, 2θ = 10–90°, low angle first)
- 2θ = 17.43°, rel. 58
- 2θ = 22.47°, rel. 100
- 2θ = 28.57°, rel. 59
- 2θ = 36.65°, rel. 25
- 2θ = 36.98°, rel. 27
- 2θ = 45.86°, rel. 10
- 2θ = 48.34°, rel. 25
- 2θ = 49.42°, rel. 11
- 2θ = 54.92°, rel. 14
- 2θ = 64.09°, rel. 24

Lattice parameters (Å, degrees): 6.4469 6.4469 6.4469 128.55 128.55 75.74
Positions (direct):
Co: 0.0000 0.5000 0.5000
Co: 0.5000 0.0000 0.5000
F: 0.0387 0.5387 0.8133
F: 0.2254 0.0387 0.5000
F: 0.2746 0.7746 0.8133
F: 0.4613 0.2746 0.5000
F: 0.5387 0.7254 0.5000
F: 0.7254 0.2254 0.1867
F: 0.7746 0.9613 0.5000
F: 0.9613 0.4613 0.1867


5.
Theoretical X-ray powder pattern of MnFe4O5 for Cu Kα X-rays, from a PBE+U-relaxed structure.
Neutral-atom scattering factors, no anomalous dispersion.

Peak list (9 most intense, 2θ = 10–90°, low angle first)
- 2θ = 35.15°, rel. 90
- 2θ = 39.75°, rel. 100
- 2θ = 42.85°, rel. 39
- 2θ = 57.48°, rel. 29
- 2θ = 59.87°, rel. 51
- 2θ = 69.19°, rel. 25
- 2θ = 73.51°, rel. 10
- 2θ = 74.29°, rel. 25
- 2θ = 85.69°, rel. 8

Lattice parameters (Å, degrees): 5.4917 5.4917 5.4917 98.49 98.49 134.80
Positions (direct):
Mn: 0.0000 0.0000 0.0000
Fe: 0.1998 0.4011 0.6009
Fe: 0.4011 0.8002 0.2013
Fe: 0.5989 0.1998 0.7987
Fe: 0.8002 0.5989 0.3991
O: 0.1005 0.6955 0.7959
O: 0.3045 0.1005 0.4050
O: 0.5000 0.5000 0.0000
O: 0.6955 0.8995 0.5950
O: 0.8995 0.3045 0.2041


6.
Theoretical X-ray powder pattern of Fe7Si2O12 for Cu Kα X-rays, from a PBE+U-relaxed structure.
Neutral-atom scattering factors, no anomalous dispersion.

Peak list (10 most intense, 2θ = 10–90°, low angle first)
- 2θ = 18.36°, rel. 20
- 2θ = 30.21°, rel. 17
- 2θ = 35.58°, rel. 100
- 2θ = 37.22°, rel. 11
- 2θ = 43.25°, rel. 36
- 2θ = 47.36°, rel. 7
- 2θ = 53.66°, rel. 5
- 2θ = 57.21°, rel. 29
- 2θ = 62.82°, rel. 48
- 2θ = 74.34°, rel. 10

Lattice parameters (Å, degrees): 13.2429 13.2429 13.2429 154.20 154.20 36.81
Positions (direct):
Fe: 0.0000 0.0000 0.0000
Fe: 0.0000 0.0000 0.5000
Fe: 0.0000 0.5000 0.0000
Fe: 0.1250 0.8750 0.2500
Fe: 0.1726 0.6675 0.5051
Fe: 0.3325 0.3376 0.5051
Fe: 0.3325 0.8274 0.9949
Fe: 0.3376 0.3325 0.0051
Fe: 0.5000 0.0000 0.5000
Fe: 0.6624 0.6675 0.9949
Fe: 0.6675 0.1726 0.0051
Fe: 0.6675 0.6624 0.4949
Fe: 0.8274 0.3325 0.4949
Fe: 0.8750 0.1250 0.7500
Si: 0.2069 0.4569 0.7500
Si: 0.4569 0.2069 0.2500
Si: 0.5431 0.7931 0.7500
Si: 0.7931 0.5431 0.2500
O: 0.0630 0.5808 0.4822
O: 0.0792 0.0946 0.5154
O: 0.0792 0.5638 0.9846
O: 0.0946 0.0792 0.0154
O: 0.2453 0.2674 0.5220
O: 0.2453 0.7233 0.9780
O: 0.2674 0.2453 0.0220
O: 0.2767 0.7547 0.5220
O: 0.4015 0.4192 0.9822
O: 0.4192 0.4015 0.4822
O: 0.4192 0.9370 0.0178
O: 0.4362 0.9208 0.5154
O: 0.5638 0.0792 0.4846
O: 0.5808 0.0630 0.9822
O: 0.5808 0.5985 0.5178
O: 0.5985 0.5808 0.0178
O: 0.7233 0.2453 0.4780
O: 0.7326 0.7547 0.9780
O: 0.7547 0.2767 0.0220
O: 0.7547 0.7326 0.4780
O: 0.9054 0.9208 0.9846
O: 0.9208 0.4362 0.0154
O: 0.9208 0.9054 0.4846
O: 0.9370 0.4192 0.5178


7.
Theoretical X-ray powder pattern of Li12V3CrP4C4O28 for Cu Kα X-rays, from a PBE+U-relaxed structure.
Neutral-atom scattering factors, no anomalous dispersion.

Peak list (10 most intense, 2θ = 10–90°, low angle first)
- 2θ = 10.40°, rel. 72
- 2θ = 19.84°, rel. 33
- 2θ = 21.43°, rel. 44
- 2θ = 25.38°, rel. 27
- 2θ = 26.33°, rel. 30
- 2θ = 27.07°, rel. 100
- 2θ = 36.67°, rel. 26
- 2θ = 40.32°, rel. 19
- 2θ = 42.51°, rel. 17
- 2θ = 44.81°, rel. 18

Lattice parameters (Å, degrees): 8.5404 6.5888 10.0094 90.00 94.98 90.00
Positions (direct):
Li: 0.0000 0.0000 0.0000
Li: 0.0028 0.0000 0.4994
Li: 0.1845 0.2243 0.2592
Li: 0.1842 0.2272 0.7576
Li: 0.1842 0.7728 0.7576
Li: 0.1845 0.7757 0.2592
Li: 0.6272 0.2765 0.5078
Li: 0.6272 0.7235 0.5078
Li: 0.6290 0.2783 0.0079
Li: 0.6290 0.7217 0.0079
Li: 0.8045 0.5000 0.7644
Li: 0.8106 0.5000 0.2674
V: 0.2359 0.5000 0.4863
V: 0.5769 0.0000 0.7787
V: 0.5778 0.0000 0.2800
Cr: 0.2402 0.5000 0.9908
P: 0.3174 0.0000 0.5232
P: 0.3192 0.0000 0.0242
P: 0.4936 0.5000 0.7426
P: 0.4980 0.5000 0.2450
C: 0.8710 0.0000 0.2318
C: 0.8708 0.0000 0.7318
C: 0.9368 0.5000 0.0312
C: 0.9426 0.5000 0.5343
O: 0.0163 0.0000 0.2043
O: 0.0162 0.0000 0.7047
O: 0.0540 0.5000 0.1248
O: 0.0558 0.5000 0.6303
O: 0.2146 0.1826 0.4703
O: 0.2146 0.8174 0.4703
O: 0.2174 0.1854 0.9720
O: 0.2174 0.8146 0.9720
O: 0.3277 0.5000 0.7934
O: 0.3295 0.5000 0.2919
O: 0.3373 0.0000 0.6799
O: 0.3382 0.0000 0.1806
O: 0.4751 0.5000 0.5856
O: 0.4835 0.0000 0.4725
O: 0.4843 0.0000 0.9723
O: 0.4846 0.5000 0.0890
O: 0.5964 0.3173 0.7954
O: 0.5964 0.6827 0.7954
O: 0.5988 0.3169 0.3002
O: 0.5988 0.6831 0.3002
O: 0.7577 0.0000 0.1355
O: 0.7577 0.0000 0.6350
O: 0.7934 0.5000 0.0662
O: 0.7969 0.5000 0.5618
O: 0.8311 0.0000 0.8545
O: 0.8321 0.0000 0.3549
O: 0.9664 0.5000 0.9073
O: 0.9813 0.5000 0.4112